Record 1
KHCO3: calculated XRD peak list (Cu Kα, 1.54184 Å), based on a PBE-relaxed structure.
Neutral-atom scattering factors, no anomalous dispersion.

Structure:
Unit cell a=5.589 b=5.589 c=11.050 alpha=104.20 beta=104.20 gamma=72.81
Sites, in units of the cell vectors:
K (0.018, 0.702, 0.864)
K (0.298, 0.982, 0.636)
K (0.702, 0.018, 0.364)
K (0.982, 0.298, 0.136)
H (0.385, 0.581, 0.354)
H (0.419, 0.615, 0.146)
H (0.581, 0.385, 0.854)
H (0.615, 0.419, 0.646)
C (0.091, 0.456, 0.450)
C (0.456, 0.091, 0.950)
C (0.544, 0.909, 0.050)
C (0.909, 0.544, 0.550)
O (0.140, 0.636, 0.415)
O (0.173, 0.221, 0.410)
O (0.221, 0.173, 0.910)
O (0.364, 0.860, 0.085)
O (0.453, 0.455, 0.682)
O (0.455, 0.453, 0.182)
O (0.545, 0.547, 0.818)
O (0.547, 0.545, 0.318)
O (0.636, 0.140, 0.915)
O (0.779, 0.827, 0.090)
O (0.827, 0.779, 0.590)
O (0.860, 0.364, 0.585)

Top 6 peaks for 5° ≤ 2θ ≤ 70°, sorted by position:
2θ 28.20, I 46
2θ 30.66, I 58
2θ 33.64, I 55
2θ 34.13, I 83
2θ 35.24, I 100
2θ 46.99, I 35



Record 2
KHCO3: calculated XRD peak list (Cu Kα, 1.54184 Å), based on a PBE-relaxed structure.
Neutral-atom scattering factors, no anomalous dispersion.

Structure:
Unit cell a=3.781 b=5.710 c=8.088 alpha=70.22 beta=77.39 gamma=89.98
Sites, in units of the cell vectors:
K (0.035, 0.168, 0.170)
K (0.965, 0.832, 0.830)
H (0.484, 0.701, 0.465)
H (0.516, 0.299, 0.535)
C (0.384, 0.611, 0.262)
C (0.616, 0.389, 0.738)
O (0.291, 0.695, 0.113)
O (0.431, 0.784, 0.340)
O (0.434, 0.384, 0.344)
O (0.566, 0.616, 0.656)
O (0.569, 0.216, 0.660)
O (0.709, 0.305, 0.887)

Top 6 peaks for 5° ≤ 2θ ≤ 70°, sorted by position:
2θ 24.04, I 75
2θ 29.52, I 100
2θ 30.57, I 45
2θ 30.78, I 46
2θ 30.90, I 41
2θ 38.95, I 48